[1]
This entry pairs a crystal structure of MgMnHO2 with its calculated powder XRD pattern. Radiation: λ = 1.5418 Å (Cu Kα). Structure: a GGA+U-relaxed structure.
Neutral-atom scattering factors, no anomalous dispersion.

Structural model:
a = 3.259 Å, b = 3.259 Å, c = 7.180 Å
α = 101.46°, β = 101.46°, γ = 58.49°
Positions (direct):
1 Mg 0.000 0.000 0.000
2 Mn 0.202 0.202 0.643
3 H 0.797 0.797 0.362
4 O 0.628 0.628 0.855
5 O 0.834 0.834 0.503

Peak list (10 most intense, 10 to 90 degrees two-theta, by angle)
| d [Å] | intensity |
| --- | --- |
| 6.992 | 1000 |
| 3.496 | 108 |
| 2.761 | 123 |
| 2.673 | 82 |
| 2.474 | 79 |
| 2.395 | 218 |
| 2.297 | 386 |
| 1.890 | 104 |
| 1.689 | 95 |
| 1.628 | 124 |



[2]
This entry pairs a crystal structure of MgMn3HO6 with its calculated powder XRD pattern. Radiation: λ = 1.5418 Å (Cu Kα). Structure: a GGA+U-relaxed structure.
Neutral-atom scattering factors, no anomalous dispersion.

Structural model:
a = 3.010 Å, b = 5.202 Å, c = 7.421 Å
α = 87.10°, β = 78.49°, γ = 89.93°
Positions (direct):
1 Mg 0.000 0.000 0.000
2 Mn 0.178 0.477 0.663
3 Mn 0.460 0.497 0.090
4 Mn 0.816 0.991 0.384
5 H 0.629 0.043 0.733
6 O 0.038 0.634 0.931
7 O 0.256 0.154 0.504
8 O 0.397 0.854 0.219
9 O 0.580 0.157 0.837
10 O 0.727 0.689 0.563
11 O 0.913 0.286 0.184

Peak list (10 most intense, 10 to 90 degrees two-theta, by angle)
| d [Å] | intensity |
| --- | --- |
| 4.332 | 384 |
| 4.126 | 458 |
| 3.051 | 1000 |
| 2.907 | 616 |
| 2.598 | 456 |
| 2.575 | 576 |
| 2.557 | 429 |
| 2.551 | 414 |
| 2.273 | 323 |
| 2.266 | 323 |